# 1
This entry pairs a crystal structure of Ba2CaCuNi2F14 with its computed powder diffractogram. Radiation: Cu Kα, 1.54184 Å. Structure: a cell relaxed with GGA+U.
Intensities are scaled so that the largest is 100.

Largest 10 diffraction maxima, by intensity, 2θ = 10–90°:
d 3.505, I 100, hkl 1 1 0; d 3.485, I 94, hkl 1 -2 0; d 3.215, I 68, hkl 0 1 4; d 3.717, I 55, hkl 0 0 4; d 3.325, I 48, hkl 0 1 -4; d 2.167, I 45, hkl 0 3 2; d 2.701, I 40, hkl 2 -1 0; d 3.021, I 39, hkl 1 0 -4; d 2.998, I 37, hkl 1 -1 4; d 4.137, I 37, hkl -1 1 2

Cell and atoms:
```
data_Ba2CaCuNi2F14
_space_group_name_H-M_alt 'P 1'
_space_group_IT_number 1
_space_group_name_Hall 'P 1'
_cell_length_a 5.4012
_cell_length_b 7.3771
_cell_length_c 14.8801
_cell_angle_alpha 91.95
_cell_angle_beta 90.39
_cell_angle_gamma 111.12
loop_
_atom_site_label
_atom_site_fract_x
_atom_site_fract_y
_atom_site_fract_z
_atom_site_occupancy
Ba1 0.0000 0.0000 0.0000 1
Ba2 0.1131 0.0000 0.4966 1
Ba3 0.6165 0.2282 0.2509 1
Ba4 0.7351 0.2287 0.7534 1
Ca1 0.2874 0.6226 0.1271 1
Ca2 0.4492 0.6211 0.6266 1
Cu1 0.3657 0.6216 0.3747 1
Cu2 0.3680 0.6174 0.8754 1
Ni1 0.0079 0.8575 0.7507 1
Ni2 0.7252 0.3762 0.9998 1
Ni3 0.7657 0.3784 0.4992 1
Ni4 0.9679 0.8536 0.2506 1
F1 0.0340 0.3687 0.5802 1
F2 0.0471 0.1178 0.2861 1
F3 0.1724 0.7846 0.8582 1
F4 0.1965 0.1126 0.7809 1
F5 0.2392 0.9359 0.1503 1
F6 0.2549 0.5028 0.7598 1
F7 0.2583 0.8558 0.3317 1
F8 0.2796 0.8617 0.6679 1
F9 0.3654 0.5028 0.2599 1
F10 0.3654 0.7287 0.4924 1
F11 0.4516 0.3703 0.0802 1
F12 0.4727 0.3647 0.4207 1
F13 0.4797 0.7271 0.9907 1
F14 0.5066 0.3010 0.5970 1
F15 0.5375 0.1162 0.9662 1
F16 0.5635 0.4472 0.8919 1
F17 0.6872 0.1175 0.4649 1
F18 0.6982 0.8634 0.1669 1
F19 0.7306 0.7830 0.3598 1
F20 0.7411 0.8823 0.8296 1
F21 0.7987 0.6053 0.7205 1
F22 0.8115 0.6337 0.5321 1
F23 0.8191 0.9367 0.6505 1
F24 0.9107 0.2979 0.0968 1
F25 0.9212 0.5924 0.2173 1
F26 0.9399 0.6322 0.0300 1
F27 0.9933 0.3519 0.9209 1
F28 0.9990 0.4483 0.3949 1
```

# 2
This entry pairs a crystal structure of V2SiPb5O12 with its computed powder diffractogram. Radiation: Cu Kα, 1.54184 Å. Structure: a cell relaxed with GGA+U.
Intensities are scaled so that the largest is 100.

Largest 10 diffraction maxima, by intensity, 2θ = 10–90°:
d 3.015, I 100, hkl 1 2 -2; d 2.958, I 57, hkl 0 0 3; d 3.438, I 54, hkl 0 2 1; d 3.040, I 48, hkl 2 1 -3; d 3.065, I 48, hkl 2 1 1; d 3.008, I 45, hkl 2 2 -1; d 3.048, I 43, hkl 3 1 -1; d 4.206, I 41, hkl 1 1 -2; d 4.434, I 38, hkl 2 0 0; d 2.931, I 28, hkl 3 0 -3

Cell and atoms:
```
data_V2SiPb5O12
_space_group_name_H-M_alt 'P 1 m 1'
_space_group_IT_number 6
_space_group_name_Hall 'P -2y'
_cell_length_a 10.1702
_cell_length_b 7.4616
_cell_length_c 10.1992
_cell_angle_alpha 90.00
_cell_angle_beta 119.42
_cell_angle_gamma 90.00
loop_
_atom_site_label
_atom_site_fract_x
_atom_site_fract_y
_atom_site_fract_z
_atom_site_occupancy
V1 0.0000 0.0000 0.0000 1
V2 0.0173 0.5000 0.6221 1
V3 0.3751 0.5000 0.3913 1
V4 0.7895 0.5000 0.0323 1
Si1 0.4127 0.0000 0.6395 1
Si2 0.7765 0.0000 0.4163 1
Pb1 0.0608 0.2323 0.3594 1
Pb2 0.1358 0.0000 0.7550 1
Pb3 0.1452 0.5000 0.0191 1
Pb4 0.4050 0.5000 0.7638 1
Pb5 0.4265 0.0000 0.2835 1
Pb6 0.6254 0.0000 0.9895 1
Pb7 0.6503 0.5000 0.2733 1
Pb8 0.7180 0.2477 0.6721 1
O1 0.0529 0.1846 0.9336 1
O2 0.0817 0.0000 0.1965 1
O3 0.1355 0.3155 0.6713 1
O4 0.2256 0.0000 0.5384 1
O5 0.2926 0.5000 0.5082 1
O6 0.3114 0.3170 0.2726 1
O7 0.4783 0.1764 0.7529 1
O8 0.4951 0.0000 0.5325 1
O9 0.5745 0.5000 0.4976 1
O10 0.6623 0.1766 0.3699 1
O11 0.6932 0.5000 0.8336 1
O12 0.7356 0.3166 0.0983 1
O13 0.8000 0.0000 0.9106 1
O14 0.8829 0.0000 0.6035 1
O15 0.8852 0.0000 0.3381 1
O16 0.9034 0.5000 0.4235 1
O17 0.9109 0.5000 0.7140 1
O18 0.9886 0.5000 0.1151 1
```

# 3
This entry pairs a crystal structure of ZnNiP2WO9 with its computed powder diffractogram. Radiation: Cu Kα, 1.54184 Å. Structure: a cell relaxed with GGA+U.
Intensities are scaled so that the largest is 100.

Largest 10 diffraction maxima, by intensity, 2θ = 10–90°:
d 4.828, I 100, hkl 1 0 2; d 5.276, I 91, hkl 0 1 2; d 3.715, I 87, hkl 0 2 1; d 3.233, I 61, hkl 2 0 0; d 4.949, I 57, hkl 1 1 0; d 2.925, I 48, hkl -2 1 1; d 2.715, I 44, hkl 0 1 5; d 3.009, I 37, hkl 0 2 -3; d 2.757, I 37, hkl 2 1 -2; d 2.067, I 24, hkl 3 0 2

Cell and atoms:
```
data_ZnNiP2WO9
_space_group_name_H-M_alt 'P 1'
_space_group_IT_number 1
_space_group_name_Hall 'P 1'
_cell_length_a 6.4682
_cell_length_b 7.6859
_cell_length_c 14.5100
_cell_angle_alpha 90.02
_cell_angle_beta 90.02
_cell_angle_gamma 90.24
loop_
_atom_site_label
_atom_site_fract_x
_atom_site_fract_y
_atom_site_fract_z
_atom_site_occupancy
Zn1 0.0000 0.0000 0.0000 1
Zn2 0.0043 0.5597 0.5006 1
Zn3 0.4988 0.0600 0.3674 1
Zn4 0.5051 0.5000 0.8677 1
Ni1 0.2507 0.0298 0.1836 1
Ni2 0.2533 0.5295 0.6836 1
Ni3 0.7507 0.0303 0.1840 1
Ni4 0.7532 0.5303 0.6843 1
P1 0.0014 0.1539 0.3738 1
P2 0.0027 0.8775 0.7553 1
P3 0.0039 0.4068 0.8741 1
P4 0.0043 0.6823 0.2553 1
P5 0.5014 0.9062 0.9939 1
P6 0.5022 0.1824 0.6125 1
P7 0.5034 0.6530 0.4936 1
P8 0.5051 0.3778 0.1124 1
W1 0.0023 0.1661 0.5662 1
W2 0.0041 0.3937 0.0663 1
W3 0.5025 0.8937 0.8016 1
W4 0.5062 0.6666 0.3015 1
O1 0.0007 0.0125 0.6761 1
O2 0.0006 0.1520 0.1188 1
O3 0.0019 0.3213 0.4377 1
O4 0.0034 0.0079 0.4486 1
O5 0.0036 0.2391 0.9376 1
O6 0.0040 0.5525 0.9490 1
O7 0.0037 0.6943 0.7110 1
O8 0.0063 0.4075 0.6191 1
O9 0.0083 0.5471 0.1763 1
O10 0.1876 0.9082 0.8189 1
O11 0.1890 0.6581 0.3194 1
O12 0.2044 0.1476 0.3161 1
O13 0.2071 0.4141 0.8165 1
O14 0.2973 0.9135 0.0508 1
O15 0.3007 0.6477 0.5517 1
O16 0.3190 0.1532 0.5479 1
O17 0.3195 0.4086 0.0494 1
O18 0.4968 0.9079 0.2489 1
O19 0.4976 0.5073 0.4187 1
O20 0.5008 0.0474 0.6918 1
O21 0.5011 0.7387 0.9301 1
O22 0.5025 0.1946 0.1569 1
O23 0.5027 0.3657 0.6568 1
O24 0.5054 0.0522 0.9191 1
O25 0.5073 0.6521 0.7489 1
O26 0.5072 0.8208 0.4301 1
O27 0.5127 0.5133 0.1911 1
O28 0.6869 0.1531 0.5489 1
O29 0.6874 0.4043 0.0468 1
O30 0.7041 0.9128 0.0520 1
O31 0.7072 0.6439 0.5508 1
O32 0.7978 0.1463 0.3165 1
O33 0.8004 0.4139 0.8166 1
O34 0.8196 0.9053 0.8200 1
O35 0.8207 0.6486 0.3195 1
O36 0.9990 0.8654 0.2110 1
```

# 4
This entry pairs a crystal structure of Li2FeBO4 with its computed powder diffractogram. Radiation: Cu Kα, 1.54184 Å. Structure: a cell relaxed with GGA+U.
Intensities are scaled so that the largest is 100.

Largest 10 diffraction maxima, by intensity, 2θ = 10–90°:
d 3.892, I 100, hkl 1 1 0; d 3.917, I 70, hkl 1 0 2; d 3.626, I 69, hkl 1 1 -1; d 2.482, I 56, hkl 0 0 4; d 2.446, I 47, hkl 0 2 0; d 3.940, I 46, hkl 1 0 -2; d 6.426, I 43, hkl 1 0 0; d 3.068, I 42, hkl 1 1 -2; d 2.593, I 39, hkl 2 1 -1; d 1.910, I 36, hkl 2 2 1

Cell and atoms:
```
data_Li2FeBO4
_space_group_name_H-M_alt 'P 1 21/c 1'
_space_group_IT_number 14
_space_group_name_Hall '-P 2ybc'
_cell_length_a 6.4260
_cell_length_b 4.8917
_cell_length_c 9.9286
_cell_angle_alpha 90.00
_cell_angle_beta 90.34
_cell_angle_gamma 90.00
loop_
_atom_site_label
_atom_site_fract_x
_atom_site_fract_y
_atom_site_fract_z
_atom_site_occupancy
Li1 0.0022 0.1751 0.0845 1
Li2 0.2579 0.1518 0.3461 1
Fe1 0.2617 0.6502 0.1678 1
B1 0.4998 0.1528 0.0827 1
O1 0.0104 0.7286 0.6127 1
O2 0.3107 0.2366 0.6392 1
O3 0.3110 0.7500 0.3547 1
O4 0.4930 0.6680 0.5733 1
```

# 5
This entry pairs a crystal structure of K3NaFe2O8 with its computed powder diffractogram. Radiation: Cu Kα, 1.54184 Å. Structure: a cell relaxed with GGA+U.
Intensities are scaled so that the largest is 100.

Largest 10 diffraction maxima, by intensity, 2θ = 10–90°:
d 2.953, I 100, hkl 1 1 0; d 3.065, I 61, hkl 0 1 2; d 2.127, I 49, hkl 2 0 2; d 4.253, I 43, hkl 0 1 1; d 1.477, I 19, hkl 2 2 0; d 1.726, I 18, hkl 1 2 2; d 2.555, I 17, hkl 0 0 3; d 3.829, I 17, hkl 0 0 2; d 1.705, I 16, hkl 3 0 0; d 2.284, I 15, hkl 0 1 3

Cell and atoms:
```
data_K3NaFe2O8
_space_group_name_H-M_alt 'P -3 m 1'
_space_group_IT_number 164
_space_group_name_Hall '-P 3 2"'
_cell_length_a 5.9061
_cell_length_b 5.9061
_cell_length_c 7.6584
_cell_angle_alpha 90.00
_cell_angle_beta 90.00
_cell_angle_gamma 120.00
loop_
_atom_site_label
_atom_site_fract_x
_atom_site_fract_y
_atom_site_fract_z
_atom_site_occupancy
K1 0.0000 0.0000 0.0000 1
K2 0.3333 0.6667 0.6652 1
Na1 0.0000 0.0000 0.5000 1
Fe1 0.3333 0.6667 0.2258 1
O1 0.1811 0.3622 0.3043 1
O2 0.3333 0.6667 0.0122 1
```

# 6
This entry pairs a crystal structure of NaMnO4 with its computed powder diffractogram. Radiation: Cu Kα, 1.54184 Å. Structure: a cell relaxed with GGA+U.
Intensities are scaled so that the largest is 100.

Largest 10 diffraction maxima, by intensity, 2θ = 10–90°:
d 3.413, I 100, hkl 1 2 -1; d 3.321, I 93, hkl 0 1 2; d 3.059, I 63, hkl 1 2 -2; d 3.112, I 60, hkl 1 2 0; d 3.914, I 53, hkl 1 1 -2; d 4.025, I 50, hkl 1 1 0; d 4.571, I 48, hkl 1 0 0; d 4.410, I 47, hkl 1 0 -2; d 2.866, I 47, hkl 2 0 -2; d 3.661, I 44, hkl 0 2 1

Cell and atoms:
```
data_NaMnO4
_space_group_name_H-M_alt 'P 1 21/c 1'
_space_group_IT_number 14
_space_group_name_Hall '-P 2ybc'
_cell_length_a 5.7352
_cell_length_b 8.4950
_cell_length_c 9.0551
_cell_angle_alpha 90.00
_cell_angle_beta 127.15
_cell_angle_gamma 90.00
loop_
_atom_site_label
_atom_site_fract_x
_atom_site_fract_y
_atom_site_fract_z
_atom_site_occupancy
Na1 0.0870 0.0327 0.3363 1
Mn1 0.4057 0.6875 0.6621 1
O1 0.2108 0.6527 0.0925 1
O2 0.2446 0.5589 0.4979 1
O3 0.2739 0.2244 0.7836 1
O4 0.4399 0.6189 0.8416 1
```

Number 5 is which compound?
K3NaFe2O8

Which formula does entry 6 have?
NaMnO4